The following is a calculated X-ray diffraction stick pattern of Li2V2F7. It was derived from a GGA+U-relaxed structure, using copper Kα.
Lines closer than 0.1° are merged.

Structure:
abc: 7.3631 7.3631 7.3631
angles: 118.28 89.12 122.79
Fractional positions:
Li: 0.0000 0.0000 0.0000
Li: 0.5000 0.0000 0.0000
Li: 0.5000 0.0000 0.5000
Li: 0.5000 0.5000 0.5000
V: 0.0000 0.0000 0.5000
V: 0.0000 0.5000 0.0000
V: 0.0000 0.5000 0.5000
V: 0.5000 0.5000 0.0000
F: 0.0897 0.2654 0.4235
F: 0.0897 0.6662 0.8243
F: 0.0990 0.8490 0.2500
F: 0.3115 0.2365 0.0750
F: 0.3386 0.7635 0.5750
F: 0.3419 0.2654 0.6757
F: 0.3419 0.6662 0.0765
F: 0.6581 0.3338 0.9235
F: 0.6581 0.7346 0.3243
F: 0.6614 0.2365 0.4250
F: 0.6885 0.7635 0.9250
F: 0.9010 0.1510 0.7500
F: 0.9103 0.3338 0.1757
F: 0.9103 0.7346 0.5765

Main lines, by intensity (10 to 80 degrees two-theta):
2θ (°)  intensity
15.14  100
29.13  83
49.59  77
17.20  71
24.21  64
28.49  54
30.55  51
28.12  46
60.60  28
48.19  26